# Tb2Sm2ZnGa4
Simulated powder XRD pattern, a wavelength of 1.5418 Å. Input: a cell relaxed with GGA-PBE.
Kinematic intensities with the Lorentz-polarization factor, no thermal factor.

Largest 10 diffraction maxima, by intensity, 15 to 90 degrees two-theta:
2θ/deg  intensity  (hkl)
32.65  100  2 0 2
36.15  65  2 2 0
62.81  30  4 2 2
25.35  26  2 0 0
52.06  23  4 0 0
33.16  23  1 0 3
42.20  20  2 1 3
55.90  17  2 2 4
78.22  11  3 1 6
56.75  11  3 2 3

Structural model:
```
data_Tb2Sm2ZnGa4
_chemical_formula_sum 'Tb4 Sm4 Zn2 Ga8'
_symmetry_space_group_name_H-M 'I 4/m m m'
_symmetry_Int_Tables_number 139
_symmetry_space_group_name_Hall '-I 4 2'
_cell_length_a 7.0272
_cell_length_b 7.0272
_cell_length_c 8.7785
_cell_angle_alpha 90.00
_cell_angle_beta 90.00
_cell_angle_gamma 90.00
loop_
_atom_site_label
_atom_site_fract_x
_atom_site_fract_y
_atom_site_fract_z
Tb1 0.0000 0.5000 0.2500
Sm1 0.0000 0.0000 0.1875
Zn1 0.0000 0.0000 0.5000
Ga1 0.2424 0.2424 0.5000
```

***

# Pm8Dy2Tl
Simulated powder XRD pattern, a wavelength of 1.5418 Å. Input: a cell relaxed with GGA-PBE.
Kinematic intensities with the Lorentz-polarization factor, no thermal factor.

Largest 10 diffraction maxima, by intensity, 15 to 90 degrees two-theta:
2θ/deg  intensity  (hkl)
30.52  100  1 1 2
35.12  17  4 0 -3
35.44  17  6 0 1
35.60  17  0 2 0
60.18  14  9 1 -4
60.81  14  1 3 2
60.60  14  11 1 0
63.53  12  10 2 -2
50.75  12  10 0 -2
50.87  12  4 2 -3

Structural model:
```
data_Pm8Dy2Tl
_chemical_formula_sum 'Pm16 Dy4 Tl2'
_symmetry_space_group_name_H-M 'C 1 2/m 1'
_symmetry_Int_Tables_number 12
_symmetry_space_group_name_Hall '-C 2y'
_cell_length_a 18.3183
_cell_length_b 5.0439
_cell_length_c 8.0713
_cell_angle_alpha 90.00
_cell_angle_beta 105.65
_cell_angle_gamma 90.00
loop_
_atom_site_label
_atom_site_fract_x
_atom_site_fract_y
_atom_site_fract_z
Pm1 0.0449 0.0000 0.2254
Pm2 0.0905 0.5000 0.9433
Pm3 0.1368 0.0000 0.6797
Pm4 0.1795 0.5000 0.4087
Dy1 0.2242 0.0000 0.1338
Tl1 0.0000 0.5000 0.5000
```